No. 1
This entry pairs a crystal structure of Nd7DyEr12 with its theoretical XRD peak list. Radiation: Cu Kα. Structure: a cell relaxed with GGA-PBE.
Peak positions follow from Bragg's law for the DFT cell and can differ from measured ones.

Most intense lines, 5 to 70 degrees two-theta, in order of rising 2θ:
- 2θ = 28.8°, 3.096 Å, intensity 27
- 2θ = 30.8°, 2.906 Å, intensity 43
- 2θ = 31.7°, 2.823 Å, intensity 100
- 2θ = 31.8°, 2.814 Å, intensity 49
- 2θ = 32.6°, 2.748 Å, intensity 22
- 2θ = 33.1°, 2.703 Å, intensity 62
- 2θ = 50.7°, 1.801 Å, intensity 22
- 2θ = 55.5°, 1.656 Å, intensity 26

a = 8.760 Å, b = 8.760 Å, c = 8.760 Å
α = 85.89°, β = 85.89°, γ = 85.89°
Fractional positions:
Nd  0.000  0.000  0.000
Nd  0.101  0.344  0.421
Nd  0.344  0.421  0.101
Nd  0.421  0.101  0.344
Nd  0.579  0.899  0.656
Nd  0.656  0.579  0.899
Nd  0.899  0.656  0.579
Dy  0.500  0.500  0.500
Er  0.003  0.365  0.883
Er  0.117  0.997  0.635
Er  0.227  0.753  0.355
Er  0.247  0.645  0.773
Er  0.355  0.227  0.753
Er  0.365  0.883  0.003
Er  0.635  0.117  0.997
Er  0.645  0.773  0.247
Er  0.753  0.355  0.227
Er  0.773  0.247  0.645
Er  0.883  0.003  0.365
Er  0.997  0.635  0.117


No. 2
This entry pairs a crystal structure of NdDy12Er5 with its theoretical XRD peak list. Radiation: Cu Kα. Structure: a cell relaxed with GGA-PBE.
Peak positions follow from Bragg's law for the DFT cell and can differ from measured ones.

Most intense lines, 5 to 70 degrees two-theta, in order of rising 2θ:
- 2θ = 31.0°, 2.889 Å, intensity 100
- 2θ = 35.9°, 2.502 Å, intensity 51
- 2θ = 51.7°, 1.769 Å, intensity 36
- 2θ = 61.5°, 1.509 Å, intensity 43
- 2θ = 64.5°, 1.444 Å, intensity 12

a = 10.617 Å, b = 10.617 Å, c = 5.001 Å
α = 90.00°, β = 90.00°, γ = 90.08°
Fractional positions:
Nd  0.000  0.000  0.000
Dy  0.000  0.335  0.000
Dy  0.000  0.665  0.000
Dy  0.168  0.168  0.500
Dy  0.168  0.500  0.500
Dy  0.334  0.334  0.000
Dy  0.335  0.000  0.000
Dy  0.500  0.168  0.500
Dy  0.500  0.832  0.500
Dy  0.665  0.000  0.000
Dy  0.666  0.666  0.000
Dy  0.832  0.500  0.500
Dy  0.832  0.832  0.500
Er  0.168  0.832  0.500
Er  0.333  0.667  0.000
Er  0.500  0.500  0.500
Er  0.667  0.333  0.000
Er  0.832  0.168  0.500


No. 3
This entry pairs a crystal structure of Nd4Dy8Er with its theoretical XRD peak list. Radiation: Cu Kα. Structure: a cell relaxed with GGA-PBE.
Peak positions follow from Bragg's law for the DFT cell and can differ from measured ones.

Most intense lines, 5 to 70 degrees two-theta, in order of rising 2θ:
- 2θ = 19.7°, 4.505 Å, intensity 10
- 2θ = 22.8°, 3.902 Å, intensity 8
- 2θ = 32.5°, 2.759 Å, intensity 100
- 2θ = 46.6°, 1.951 Å, intensity 18
- 2θ = 57.9°, 1.593 Å, intensity 28
- 2θ = 58.0°, 1.591 Å, intensity 9
- 2θ = 67.9°, 1.380 Å, intensity 6
- 2θ = 68.0°, 1.378 Å, intensity 6

a = 7.803 Å, b = 7.803 Å, c = 7.803 Å
α = 90.08°, β = 90.08°, γ = 90.08°
Fractional positions:
Nd  0.000  0.000  0.000
Nd  0.000  0.500  0.500
Nd  0.500  0.000  0.500
Nd  0.500  0.500  0.000
Dy  0.240  0.240  0.240
Dy  0.240  0.240  0.759
Dy  0.240  0.759  0.240
Dy  0.241  0.760  0.760
Dy  0.759  0.240  0.240
Dy  0.760  0.241  0.760
Dy  0.760  0.760  0.241
Dy  0.760  0.760  0.760
Er  0.500  0.500  0.500


No. 4
This entry pairs a crystal structure of Nd5Dy2Er3 with its theoretical XRD peak list. Radiation: Cu Kα. Structure: a cell relaxed with GGA-PBE.
Peak positions follow from Bragg's law for the DFT cell and can differ from measured ones.

Most intense lines, 5 to 70 degrees two-theta, in order of rising 2θ:
- 2θ = 29.4°, 3.034 Å, intensity 95
- 2θ = 31.1°, 2.875 Å, intensity 100
- 2θ = 32.0°, 2.796 Å, intensity 23
- 2θ = 33.5°, 2.677 Å, intensity 46
- 2θ = 36.0°, 2.498 Å, intensity 25
- 2θ = 48.9°, 1.863 Å, intensity 32
- 2θ = 60.5°, 1.529 Å, intensity 34
- 2θ = 62.7°, 1.482 Å, intensity 26

a = 9.171 Å, b = 9.171 Å, c = 10.021 Å
α = 108.17°, β = 108.17°, γ = 108.57°
Fractional positions:
Nd  0.019  0.981  0.750
Nd  0.123  0.383  0.757
Nd  0.229  0.771  0.750
Nd  0.383  0.123  0.257
Nd  0.479  0.521  0.250
Nd  0.521  0.479  0.750
Nd  0.617  0.877  0.743
Nd  0.771  0.229  0.250
Nd  0.877  0.617  0.243
Nd  0.981  0.019  0.250
Dy  0.023  0.281  0.057
Dy  0.281  0.023  0.557
Dy  0.719  0.977  0.443
Dy  0.977  0.719  0.943
Er  0.220  0.471  0.443
Er  0.273  0.727  0.250
Er  0.471  0.220  0.943
Er  0.529  0.780  0.057
Er  0.727  0.273  0.750
Er  0.780  0.529  0.557


No. 5
This entry pairs a crystal structure of Nd6Dy2Er with its theoretical XRD peak list. Radiation: Cu Kα. Structure: a cell relaxed with GGA-PBE.
Peak positions follow from Bragg's law for the DFT cell and can differ from measured ones.

Most intense lines, 5 to 70 degrees two-theta, in order of rising 2θ:
- 2θ = 29.6°, 3.015 Å, intensity 62
- 2θ = 30.2°, 2.963 Å, intensity 48
- 2θ = 30.4°, 2.940 Å, intensity 59
- 2θ = 31.3°, 2.859 Å, intensity 100
- 2θ = 36.7°, 2.447 Å, intensity 33
- 2θ = 37.4°, 2.407 Å, intensity 29
- 2θ = 54.2°, 1.691 Å, intensity 22
- 2θ = 54.9°, 1.673 Å, intensity 22

a = 10.147 Å, b = 10.147 Å, c = 6.257 Å
α = 94.97°, β = 94.97°, γ = 71.46°
Fractional positions:
Nd  0.093  0.812  0.986
Nd  0.146  0.426  0.153
Nd  0.188  0.907  0.514
Nd  0.241  0.522  0.680
Nd  0.426  0.146  0.653
Nd  0.478  0.759  0.820
Nd  0.522  0.241  0.180
Nd  0.574  0.854  0.347
Nd  0.759  0.478  0.320
Nd  0.812  0.093  0.486
Nd  0.854  0.574  0.847
Nd  0.907  0.188  0.014
Dy  0.067  0.267  0.583
Dy  0.267  0.067  0.083
Dy  0.733  0.933  0.917
Dy  0.933  0.733  0.417
Er  0.400  0.600  0.250
Er  0.600  0.400  0.750


No. 6
This entry pairs a crystal structure of Nd3Dy7Er2 with its theoretical XRD peak list. Radiation: Cu Kα. Structure: a cell relaxed with GGA-PBE.
Peak positions follow from Bragg's law for the DFT cell and can differ from measured ones.

Most intense lines, 5 to 70 degrees two-theta, in order of rising 2θ:
- 2θ = 27.5°, 3.248 Å, intensity 18
- 2θ = 31.6°, 2.831 Å, intensity 36
- 2θ = 31.8°, 2.818 Å, intensity 100
- 2θ = 31.9°, 2.803 Å, intensity 22
- 2θ = 34.5°, 2.599 Å, intensity 25
- 2θ = 51.3°, 1.780 Å, intensity 26
- 2θ = 56.7°, 1.624 Å, intensity 25
- 2θ = 66.4°, 1.409 Å, intensity 26

a = 11.930 Å, b = 11.930 Å, c = 11.930 Å
α = 31.60°, β = 31.60°, γ = 31.60°
Fractional positions:
Nd  0.000  0.000  0.000
Nd  0.156  0.156  0.156
Nd  0.844  0.844  0.844
Dy  0.083  0.584  0.584
Dy  0.416  0.416  0.917
Dy  0.416  0.917  0.416
Dy  0.500  0.500  0.500
Dy  0.584  0.083  0.584
Dy  0.584  0.584  0.083
Dy  0.917  0.416  0.416
Er  0.333  0.333  0.333
Er  0.667  0.667  0.667


No. 7
This entry pairs a crystal structure of Nd4Dy2Er3 with its theoretical XRD peak list. Radiation: Cu Kα. Structure: a cell relaxed with GGA-PBE.
Peak positions follow from Bragg's law for the DFT cell and can differ from measured ones.

Most intense lines, 5 to 70 degrees two-theta, in order of rising 2θ:
- 2θ = 30.6°, 2.923 Å, intensity 10
- 2θ = 31.2°, 2.868 Å, intensity 100
- 2θ = 31.6°, 2.831 Å, intensity 98
- 2θ = 45.0°, 2.015 Å, intensity 34
- 2θ = 51.7°, 1.768 Å, intensity 9
- 2θ = 56.0°, 1.641 Å, intensity 33
- 2θ = 56.3°, 1.634 Å, intensity 16
- 2θ = 61.9°, 1.500 Å, intensity 29

a = 9.809 Å, b = 9.809 Å, c = 7.072 Å
α = 90.00°, β = 90.00°, γ = 120.06°
Fractional positions:
Nd  0.026  0.679  0.000
Nd  0.319  0.351  0.000
Nd  0.321  0.974  0.500
Nd  0.351  0.319  0.500
Nd  0.649  0.681  0.500
Nd  0.679  0.026  0.500
Nd  0.681  0.649  0.000
Nd  0.974  0.321  0.000
Dy  0.028  0.349  0.500
Dy  0.349  0.028  0.000
Dy  0.651  0.972  0.000
Dy  0.972  0.651  0.500
Er  0.000  0.000  0.250
Er  0.000  0.000  0.750
Er  0.330  0.670  0.250
Er  0.330  0.670  0.750
Er  0.670  0.330  0.250
Er  0.670  0.330  0.750


No. 8
This entry pairs a crystal structure of Nd2Dy3Er4 with its theoretical XRD peak list. Radiation: Cu Kα. Structure: a cell relaxed with GGA-PBE.
Peak positions follow from Bragg's law for the DFT cell and can differ from measured ones.

Most intense lines, 5 to 70 degrees two-theta, in order of rising 2θ:
- 2θ = 30.3°, 2.949 Å, intensity 58
- 2θ = 30.9°, 2.895 Å, intensity 100
- 2θ = 31.9°, 2.808 Å, intensity 93
- 2θ = 37.6°, 2.392 Å, intensity 31
- 2θ = 38.1°, 2.365 Å, intensity 26
- 2θ = 50.4°, 1.811 Å, intensity 13
- 2θ = 56.0°, 1.641 Å, intensity 20
- 2θ = 58.4°, 1.580 Å, intensity 12

a = 9.983 Å, b = 9.983 Å, c = 6.119 Å
α = 95.04°, β = 95.04°, γ = 70.83°
Fractional positions:
Nd  0.021  0.732  0.677
Nd  0.268  0.979  0.823
Nd  0.732  0.021  0.177
Nd  0.979  0.268  0.323
Dy  0.098  0.902  0.250
Dy  0.238  0.433  0.401
Dy  0.433  0.238  0.901
Dy  0.567  0.762  0.099
Dy  0.762  0.567  0.599
Dy  0.902  0.098  0.750
Er  0.078  0.355  0.849
Er  0.314  0.594  0.984
Er  0.355  0.078  0.349
Er  0.406  0.686  0.516
Er  0.594  0.314  0.484
Er  0.645  0.922  0.651
Er  0.686  0.406  0.016
Er  0.922  0.645  0.151


No. 9
This entry pairs a crystal structure of NdDy5Er3 with its theoretical XRD peak list. Radiation: Cu Kα. Structure: a cell relaxed with GGA-PBE.
Peak positions follow from Bragg's law for the DFT cell and can differ from measured ones.

Most intense lines, 5 to 70 degrees two-theta, in order of rising 2θ:
- 2θ = 22.4°, 3.977 Å, intensity 45
- 2θ = 26.4°, 3.376 Å, intensity 37
- 2θ = 30.4°, 2.939 Å, intensity 49
- 2θ = 31.2°, 2.869 Å, intensity 62
- 2θ = 31.5°, 2.844 Å, intensity 100
- 2θ = 32.0°, 2.800 Å, intensity 68
- 2θ = 32.8°, 2.728 Å, intensity 61
- 2θ = 35.2°, 2.549 Å, intensity 45

a = 9.303 Å, b = 9.303 Å, c = 12.171 Å
α = 126.03°, β = 126.03°, γ = 50.63°
Fractional positions:
Nd  0.236  0.236  0.131
Nd  0.764  0.764  0.869
Dy  0.124  0.124  0.566
Dy  0.143  0.729  0.220
Dy  0.271  0.857  0.780
Dy  0.299  0.299  0.928
Dy  0.321  0.679  0.000
Dy  0.679  0.321  0.000
Dy  0.701  0.701  0.072
Dy  0.729  0.143  0.220
Dy  0.857  0.271  0.780
Dy  0.876  0.876  0.434
Er  0.000  0.000  0.000
Er  0.170  0.170  0.339
Er  0.379  0.379  0.683
Er  0.500  0.500  0.500
Er  0.621  0.621  0.317
Er  0.830  0.830  0.661


No. 10
This entry pairs a crystal structure of Nd2Dy3Er8 with its theoretical XRD peak list. Radiation: Cu Kα. Structure: a cell relaxed with GGA-PBE.
Peak positions follow from Bragg's law for the DFT cell and can differ from measured ones.

Most intense lines, 5 to 70 degrees two-theta, in order of rising 2θ:
- 2θ = 25.0°, 3.558 Å, intensity 16
- 2θ = 29.5°, 3.030 Å, intensity 27
- 2θ = 30.6°, 2.921 Å, intensity 29
- 2θ = 32.5°, 2.752 Å, intensity 37
- 2θ = 33.5°, 2.672 Å, intensity 100
- 2θ = 34.7°, 2.585 Å, intensity 14
- 2θ = 58.7°, 1.573 Å, intensity 21
- 2θ = 68.1°, 1.377 Å, intensity 13

a = 7.578 Å, b = 5.505 Å, c = 11.010 Å
α = 90.00°, β = 110.11°, γ = 90.00°
Fractional positions:
Nd  0.241  0.000  0.481
Nd  0.759  0.000  0.519
Dy  0.000  0.000  0.000
Dy  0.287  0.500  0.000
Dy  0.713  0.500  0.000
Er  0.128  0.500  0.256
Er  0.180  0.000  0.786
Er  0.339  0.500  0.678
Er  0.394  0.000  0.214
Er  0.606  0.000  0.786
Er  0.661  0.500  0.322
Er  0.820  0.000  0.214
Er  0.872  0.500  0.744


No. 11
This entry pairs a crystal structure of Nd5Dy2Er12 with its theoretical XRD peak list. Radiation: Cu Kα. Structure: a cell relaxed with GGA-PBE.
Peak positions follow from Bragg's law for the DFT cell and can differ from measured ones.

Most intense lines, 5 to 70 degrees two-theta, in order of rising 2θ:
- 2θ = 28.8°, 3.097 Å, intensity 15
- 2θ = 29.3°, 3.052 Å, intensity 55
- 2θ = 31.1°, 2.874 Å, intensity 66
- 2θ = 32.2°, 2.784 Å, intensity 55
- 2θ = 32.4°, 2.766 Å, intensity 51
- 2θ = 32.7°, 2.735 Å, intensity 100
- 2θ = 49.8°, 1.830 Å, intensity 18
- 2θ = 56.7°, 1.623 Å, intensity 18

a = 6.265 Å, b = 9.032 Å, c = 10.902 Å
α = 87.24°, β = 82.28°, γ = 87.91°
Fractional positions:
Nd  0.000  0.000  0.000
Nd  0.122  0.987  0.344
Nd  0.273  0.550  0.942
Nd  0.727  0.450  0.058
Nd  0.878  0.013  0.656
Dy  0.456  0.495  0.346
Dy  0.544  0.505  0.654
Er  0.014  0.342  0.768
Er  0.074  0.664  0.549
Er  0.182  0.295  0.160
Er  0.355  0.857  0.749
Er  0.400  0.175  0.556
Er  0.497  0.824  0.113
Er  0.503  0.176  0.887
Er  0.600  0.825  0.444
Er  0.645  0.143  0.251
Er  0.818  0.705  0.840
Er  0.926  0.336  0.451
Er  0.986  0.658  0.232